This entry pairs a crystal structure of Sr2MgTi6N2O11 with its computed powder diffraction line list. Radiation: CuKα. Structure: a PBE-relaxed structure.
Lines closer than 0.1° are merged.

Atomic structure:
```
Sr2MgTi6N2O11
1.0
7.7698 -1.9012 0.0000
7.7698 1.9012 0.0000
-3.2255 0.0000 10.2020
Sr Mg Ti N O
2 1 6 2 11
direct
0.0000 0.0000 0.0000
0.0703 0.0703 0.5876
0.4692 0.4692 0.2503
0.2860 0.2860 0.1055
0.3155 0.3155 0.4515
0.4009 0.4009 0.7227
0.6511 0.6511 0.9009
0.6560 0.6560 0.3170
0.7619 0.7619 0.6571
0.2621 0.2621 0.6005
0.6700 0.6700 0.7394
0.1630 0.1630 0.9578
0.1855 0.1855 0.3068
0.3552 0.3552 0.2854
0.3862 0.3862 0.0552
0.4416 0.4416 0.5742
0.5255 0.5255 0.8595
0.5647 0.5647 0.1617
0.5760 0.5760 0.4151
0.7533 0.7533 0.0834
0.7877 0.7877 0.4398
0.8874 0.8874 0.7740
```

Largest 6 diffraction maxima, in order of falling intensity, 10 to 90 degrees two-theta:
28.82°, rel. 100.0
31.59°, rel. 86.1
25.09°, rel. 83.5
29.65°, rel. 81.3
47.84°, rel. 80.0
25.31°, rel. 57.0



This entry pairs a crystal structure of Sr2MgTi6N2O11 with its computed powder diffraction line list. Radiation: CuKα. Structure: a PBE-relaxed structure.
Lines closer than 0.1° are merged.

Atomic structure:
```
Sr2MgTi6N2O11
1.0
3.9595 0.0000 0.0000
-1.8112 7.6302 0.0000
-0.0479 -0.5554 9.1582
Sr Mg Ti N O
2 1 6 2 11
direct
0.0000 0.0000 0.0000
0.1371 0.2827 0.6227
0.2042 0.3338 0.1975
0.3563 0.6822 0.0539
0.4506 0.8780 0.3882
0.4832 0.9449 0.7303
0.7334 0.4212 0.9454
0.8145 0.5799 0.2820
0.8561 0.6725 0.6082
0.4233 0.8220 0.8957
0.8411 0.6482 0.0758
0.2292 0.4081 0.9834
0.3139 0.5795 0.2807
0.3828 0.7277 0.5830
0.4628 0.9172 0.1911
0.5413 0.0775 0.5024
0.6087 0.1780 0.8317
0.6959 0.3171 0.1757
0.7683 0.4715 0.4776
0.7885 0.5225 0.7629
0.9198 0.8116 0.4002
0.9824 0.9412 0.7021
```

Largest 6 diffraction maxima, in order of falling intensity, 10 to 90 degrees two-theta:
45.85°, rel. 100.0
44.95°, rel. 87.6
30.87°, rel. 82.9
30.34°, rel. 79.3
41.71°, rel. 73.9
29.57°, rel. 68.2



This entry pairs a crystal structure of Sr2MgTi6N2O11 with its computed powder diffraction line list. Radiation: CuKα. Structure: a PBE-relaxed structure.
Lines closer than 0.1° are merged.

Atomic structure:
```
Sr2MgTi6N2O11
1.0
3.8906 0.0000 0.0000
1.7816 7.3591 0.0000
0.2970 2.4605 9.6893
Sr Mg Ti N O
2 1 6 2 11
direct
0.0000 0.0000 0.0000
0.0853 0.8527 0.3670
0.2992 0.8074 0.7073
0.3286 0.3664 0.0561
0.3728 0.2074 0.3994
0.4228 0.1793 0.7521
0.7088 0.6444 0.9539
0.7423 0.5187 0.2456
0.7915 0.4544 0.5845
0.3947 0.2312 0.9224
0.8144 0.3898 0.0963
0.2130 0.6375 0.9206
0.2536 0.4912 0.2629
0.3194 0.3881 0.5742
0.3917 0.9854 0.5289
0.4353 0.1085 0.2490
0.5528 0.9138 0.8268
0.6328 0.7627 0.1087
0.6857 0.6406 0.4139
0.7304 0.6045 0.7025
0.8439 0.2685 0.4043
0.9175 0.1855 0.7178
```

Largest 6 diffraction maxima, in order of falling intensity, 10 to 90 degrees two-theta:
39.49°, rel. 100.0
46.74°, rel. 95.7
30.13°, rel. 87.8
29.23°, rel. 86.0
29.49°, rel. 82.5
46.50°, rel. 67.6



This entry pairs a crystal structure of Sr2MgTi6N2O11 with its computed powder diffraction line list. Radiation: CuKα. Structure: a PBE-relaxed structure.
Lines closer than 0.1° are merged.

Atomic structure:
```
Sr2MgTi6N2O11
1.0
7.6516 -1.9587 0.0000
7.6516 1.9587 0.0000
-2.6126 0.0000 9.5575
Sr Mg Ti N O
2 1 6 2 11
direct
0.0000 0.0000 0.0000
0.1481 0.1481 0.4063
0.0746 0.0746 0.6971
0.3198 0.3198 0.9597
0.4145 0.4145 0.2976
0.4310 0.4310 0.6585
0.7144 0.7144 0.7507
0.7292 0.7292 0.1275
0.8278 0.8278 0.4675
0.3545 0.3545 0.4631
0.7430 0.7430 0.5864
0.2030 0.2030 0.7918
0.2587 0.2587 0.1227
0.4006 0.4006 0.8272
0.4308 0.4308 0.0993
0.5309 0.5309 0.3839
0.5723 0.5723 0.7005
0.6148 0.6148 0.0280
0.7127 0.7127 0.3070
0.7983 0.7983 0.9549
0.8831 0.8831 0.2812
0.9436 0.9436 0.6414
```

Largest 6 diffraction maxima, in order of falling intensity, 10 to 90 degrees two-theta:
29.11°, rel. 100.0
27.41°, rel. 80.8
46.34°, rel. 64.0
32.10°, rel. 53.5
31.11°, rel. 42.5
55.09°, rel. 34.8



This entry pairs a crystal structure of MgTi6N4O6 with its computed powder diffraction line list. Radiation: CuKα. Structure: a PBE-relaxed structure.
Lines closer than 0.1° are merged.

Atomic structure:
```
MgTi6N4O6
1.0
5.0145 -1.9160 0.0000
5.0145 1.9160 0.0000
-0.4894 0.0000 10.0376
Mg Ti N O
1 6 4 6
direct
0.0000 0.0000 0.0000
0.3001 0.3001 0.4818
0.3616 0.3616 0.1886
0.3685 0.3685 0.7672
0.6334 0.6334 0.2837
0.6572 0.6572 0.6871
0.7059 0.7059 0.9791
0.1949 0.1949 0.3020
0.1980 0.1980 0.6514
0.5376 0.5376 0.1067
0.8362 0.8362 0.8308
0.2175 0.2175 0.0012
0.4592 0.4592 0.3544
0.4603 0.4603 0.6100
0.5554 0.5554 0.8516
0.7555 0.7555 0.4782
0.8317 0.8317 0.1487
```

Largest 6 diffraction maxima, in order of falling intensity, 10 to 90 degrees two-theta:
24.88°, rel. 100.0
47.45°, rel. 63.1
17.70°, rel. 60.1
31.42°, rel. 48.4
32.91°, rel. 43.5
41.04°, rel. 42.6



This entry pairs a crystal structure of MgTi6N4O6 with its computed powder diffraction line list. Radiation: CuKα. Structure: a PBE-relaxed structure.
Lines closer than 0.1° are merged.

Atomic structure:
```
MgTi6N4O6
1.0
5.0836 -1.8930 0.0000
5.0836 1.8930 0.0000
-0.0014 0.0000 10.1557
Mg Ti N O
1 6 4 6
direct
0.0000 0.0000 0.0000
0.2820 0.2820 0.9656
0.3581 0.3581 0.2618
0.3587 0.3587 0.6594
0.6141 0.6141 0.7648
0.6547 0.6547 0.1900
0.6840 0.6840 0.4723
0.1467 0.1467 0.8328
0.1824 0.1824 0.1362
0.5286 0.5286 0.5983
0.8134 0.8134 0.3108
0.2388 0.2388 0.4954
0.4365 0.4365 0.8398
0.4629 0.4629 0.0974
0.5455 0.5455 0.3413
0.7942 0.7942 0.6662
0.8004 0.8004 0.9816
```

Largest 6 diffraction maxima, in order of falling intensity, 10 to 90 degrees two-theta:
31.76°, rel. 100.0
25.10°, rel. 99.8
39.66°, rel. 75.5
48.06°, rel. 61.5
17.45°, rel. 53.7
51.01°, rel. 46.0